For UBi2, a cell relaxed with PBE gives the simulated powder X-ray diffraction pattern in this record (copper Kα).
Peak positions follow from Bragg's law for the DFT cell and can differ from measured ones.

```
UBi2
1.0
4.4836 0.0000 0.0000
0.0000 4.4836 0.0000
0.0000 0.0000 9.0175
U Bi
2 4
Direct
0.2500 0.2500 0.2169
0.7500 0.7500 0.7831
0.2500 0.2500 0.8560
0.2500 0.7500 0.5000
0.7500 0.2500 0.5000
0.7500 0.7500 0.1440
```

Most intense lines, 2θ = 5–70°, sorted by position:
2θ = 28.12°, intensity 30
2θ = 29.72°, intensity 48
2θ = 29.87°, intensity 99
2θ = 34.59°, intensity 100
2θ = 35.97°, intensity 31
2θ = 40.23°, intensity 64
2θ = 50.81°, intensity 45
2θ = 58.20°, intensity 22
2θ = 66.75°, intensity 41
2θ = 69.50°, intensity 28